# 1
Diffraction record for KNdPb2Br8. The powder diffraction line list is calculated, not measured: it uses the PBE geometry in Alexandria and Cu Kα (λ = 1.5418 Å).
Peak positions follow from Bragg's law for the DFT cell and can differ from measured ones.

Structural model:
Cell: 6.9326 9.2970 7.2946 Å, 90.00 90.79 90.00°
Space group P2/m (No. 10)
One atom of each set of equivalent atoms:
K 0.0000 0.0000 0.0000
Nd 0.0000 0.5000 0.0000
Pb 0.5000 0.2467 0.5000
Br 0.2422 0.2754 0.1566
Br 0.2451 0.5000 0.6733
Br 0.2711 0.0000 0.6382

Peak list (8 most intense, 2θ = 10–90°, sorted by position)
2θ/deg  d (Å)  I/Imax
17.5  5.060  86
17.8  4.990  81
23.0  3.861  75
26.0  3.423  100
27.8  3.209  52
34.4  2.606  77
34.7  2.587  76
41.9  2.154  73


# 2
Diffraction record for KNdSeBr. The powder diffraction line list is calculated, not measured: it uses the PBE geometry in Alexandria and Cu Kα (λ = 1.5418 Å).
Peak positions follow from Bragg's law for the DFT cell and can differ from measured ones.

Structural model:
Cell: 4.2254 4.2254 24.4556 Å, 90.00 90.00 120.00°
Space group R3m (No. 160, hexagonal axes)
One atom of each set of equivalent atoms:
K 0.0000 0.0000 0.0000
Nd 0.0000 0.0000 0.8172
Se 0.0000 0.0000 0.4164
Br 0.0000 0.0000 0.2319

Peak list (8 most intense, 2θ = 10–90°, sorted by position)
2θ/deg  d (Å)  I/Imax
10.9  8.152  56
25.4  3.506  49
30.5  2.930  100
35.5  2.527  35
42.8  2.113  42
44.6  2.033  27
53.5  1.714  20
63.4  1.466  27


# 3
Diffraction record for K3Ni2Br9. The powder diffraction line list is calculated, not measured: it uses the PBE geometry in Alexandria and Cu Kα (λ = 1.5418 Å).
Peak positions follow from Bragg's law for the DFT cell and can differ from measured ones.

Structural model:
Cell: 12.0348 12.0348 21.7079 Å, 90.00 90.00 120.00°
Space group R-3c (No. 167, hexagonal axes)
One atom of each set of equivalent atoms:
K 0.0000 0.3368 0.2500
Ni 0.0000 0.0000 0.1766
Br 0.0000 0.1606 0.7500
Br 0.0062 0.1725 0.1143

Peak list (8 most intense, 2θ = 10–90°, sorted by position)
2θ/deg  d (Å)  I/Imax
11.8  7.518  50
14.7  6.017  28
18.4  4.814  15
24.6  3.618  15
30.6  2.917  17
32.2  2.778  100
38.9  2.313  21
52.7  1.737  25


Q: Which formula does entry 1 have?
A: KNdPb2Br8